[1]
Structure and simulated PXRD pattern of Pd2Pt5Rh (a crystal structure in Alexandria, relaxed with PBE; copper Kα).

Principal peaks in the range 2θ = 10–90°, in order of rising 2θ:
two_theta, I/Imax
39.5, 100
39.6, 99
46.0, 97
67.0, 42
80.6, 51
80.9, 25
85.0, 11
85.3, 11

Cell and atoms:
```
8
Lattice="0.0000 3.9519 5.5948 2.7828 0.0000 5.5948 2.7828 3.9519 0.0000" Properties=species:S:1:pos:R:3 pbc="T T T"
Pd 2.7828 3.9519 2.7839
Pd 2.7828 3.9519 8.4056
Pt 1.3914 1.9760 1.3858
Pt 1.3914 1.9760 4.2090
Pt 2.7828 3.9519 5.5948
Pt 4.1742 5.9279 6.9806
Pt 4.1742 5.9279 9.8038
Rh 0.0000 0.0000 0.0000
```

[2]
Structure and simulated PXRD pattern of Pr4Bi2Pb (a crystal structure in Alexandria, relaxed with PBE; copper Kα).

Principal peaks in the range 2θ = 10–90°, in order of rising 2θ:
two_theta, I/Imax
22.3, 20
28.8, 50
28.9, 100
34.3, 96
41.4, 21
43.4, 22
47.5, 21
58.3, 31

Cell and atoms:
```
14
Lattice="-4.8780 4.8780 4.8994 4.8780 -4.8780 4.8994 4.8780 4.8780 -4.8994" Properties=species:S:1:pos:R:3 pbc="T T T"
Pr 6.6277 0.6852 0.5199
Pr 4.1928 3.1283 -1.9298
Pr 0.6852 3.1283 -0.5199
Pr 0.6852 1.7497 2.9696
Pr 4.1928 1.7497 4.3795
Pr 1.7497 -0.6852 6.8292
Pr 3.1283 5.5633 1.9298
Pr -1.7497 4.1928 5.4193
Bi 2.4390 -1.2086 3.6745
Bi 3.6694 2.4390 1.2248
Bi 2.4390 6.0867 -1.2248
Bi 1.2086 2.4390 6.1242
Pb 0.0000 0.0000 0.0000
Pb 0.0000 4.8780 2.4497
```

[3]
Structure and simulated PXRD pattern of Th3InIr8 (a crystal structure in Alexandria, relaxed with PBE; copper Kα).

Principal peaks in the range 2θ = 10–90°, in order of rising 2θ:
two_theta, I/Imax
33.0, 28
38.9, 100
40.7, 40
58.9, 10
62.9, 32
69.2, 28
82.4, 11
83.5, 15

Cell and atoms:
```
12
Lattice="2.7138 1.5668 8.8694 -2.7138 1.5668 8.8694 0.0000 -3.1336 8.8694" Properties=species:S:1:pos:R:3 pbc="T T T"
Th 0.0000 0.0000 0.0000
Th 0.0000 0.0000 3.4127
Th 0.0000 0.0000 13.6017
In 0.0000 0.0000 16.8712
Ir -1.3600 -0.7852 10.6560
Ir 0.0000 -1.5554 6.2039
Ir -1.3470 0.7777 6.2039
Ir 0.0000 0.0000 8.4147
Ir 1.3470 0.7777 6.2040
Ir 1.3600 -0.7852 10.6561
Ir 0.0000 1.5703 10.6561
Ir 0.0000 0.0000 21.7329
```